Simulated X-ray diffraction stick pattern of Np2TeSe for Cu Kα, from DFT lattice parameters and positions (PBE).
Lines closer than 0.1° are merged.

```
data_Np2TeSe
_space_group_name_H-M_alt 'P 1'
_space_group_IT_number 1
_cell_length_a 4.2955
_cell_length_b 7.0110
_cell_length_c 7.4924
_cell_angle_alpha 90.00
_cell_angle_beta 90.00
_cell_angle_gamma 90.00
loop_
_space_group_symop_operation_xyz
'x,y,z'
loop_
_atom_site_label
_atom_site_type_symbol
_atom_site_fract_x
_atom_site_fract_y
_atom_site_fract_z
_atom_site_occupancy
Np1 Np 0.2500 0.0028 0.2276 1
Np2 Np 0.2500 0.4972 0.2276 1
Np3 Np 0.7500 0.5028 0.7724 1
Np4 Np 0.7500 0.9972 0.7724 1
Te1 Te 0.2500 0.2500 0.5792 1
Te2 Te 0.7500 0.7500 0.4208 1
Se1 Se 0.2500 0.7500 0.9131 1
Se2 Se 0.7500 0.2500 0.0869 1
```

Peak list (8 most intense, 2θ from 15° to 90°, by angle)
Position (°2θ)	Rel. int.
23.75	17
23.88	36
27.10	13
35.12	100
41.84	26
42.07	15
55.88	18
69.02	12

Simulated X-ray diffraction stick pattern of YNpTeSe2 for Cu Kα, from DFT lattice parameters and positions (PBE).
Lines closer than 0.1° are merged.

```
data_YNpTeSe2
_space_group_name_H-M_alt 'P 1'
_space_group_IT_number 1
_cell_length_a 7.6984
_cell_length_b 7.6984
_cell_length_c 7.6984
_cell_angle_alpha 145.49
_cell_angle_beta 145.49
_cell_angle_gamma 49.60
loop_
_space_group_symop_operation_xyz
'x,y,z'
loop_
_atom_site_label
_atom_site_type_symbol
_atom_site_fract_x
_atom_site_fract_y
_atom_site_fract_z
_atom_site_occupancy
Y1 Y 0.0000 0.0000 0.0000 1
Np1 Np 0.2621 0.2621 0.0000 1
Te1 Te 0.6380 0.6380 0.0000 1
Se1 Se 0.3850 0.8850 0.5000 1
Se2 Se 0.8850 0.3850 0.5000 1
```

Peak list (8 most intense, 2θ from 15° to 90°, by angle)
Position (°2θ)	Rel. int.
20.46	24
27.35	100
27.62	27
30.50	48
37.73	33
37.94	37
39.46	48
48.68	42

Simulated X-ray diffraction stick pattern of ThNp2Se4 for Cu Kα, from DFT lattice parameters and positions (PBE).
Lines closer than 0.1° are merged.

```
data_ThNp2Se4
_space_group_name_H-M_alt 'P 1'
_space_group_IT_number 1
_cell_length_a 7.0554
_cell_length_b 7.0554
_cell_length_c 13.7568
_cell_angle_alpha 90.00
_cell_angle_beta 90.00
_cell_angle_gamma 146.53
loop_
_space_group_symop_operation_xyz
'x,y,z'
loop_
_atom_site_label
_atom_site_type_symbol
_atom_site_fract_x
_atom_site_fract_y
_atom_site_fract_z
_atom_site_occupancy
Th1 Th 0.1218 0.8782 0.7500 1
Th2 Th 0.8782 0.1218 0.2500 1
Np1 Np 0.3655 0.6345 0.5640 1
Np2 Np 0.3655 0.6345 0.9360 1
Np3 Np 0.6345 0.3655 0.0640 1
Np4 Np 0.6345 0.3655 0.4360 1
Se1 Se 0.0000 0.0000 0.0000 1
Se2 Se 0.0000 0.0000 0.5000 1
Se3 Se 0.2729 0.7271 0.1266 1
Se4 Se 0.2729 0.7271 0.3734 1
Se5 Se 0.4639 0.5361 0.7500 1
Se6 Se 0.5361 0.4639 0.2500 1
Se7 Se 0.7271 0.2729 0.6266 1
Se8 Se 0.7271 0.2729 0.8734 1
```

Peak list (8 most intense, 2θ from 15° to 90°, by angle)
Position (°2θ)	Rel. int.
23.45	100
26.35	38
30.33	56
32.40	80
40.14	54
42.25	27
44.59	41
44.85	50

Simulated X-ray diffraction stick pattern of Np6TlSe12 for Cu Kα, from DFT lattice parameters and positions (PBE).
Lines closer than 0.1° are merged.

```
data_Np6TlSe12
_space_group_name_H-M_alt 'P 1'
_space_group_IT_number 1
_cell_length_a 8.4606
_cell_length_b 8.4606
_cell_length_c 8.4606
_cell_angle_alpha 105.46
_cell_angle_beta 105.46
_cell_angle_gamma 105.46
loop_
_space_group_symop_operation_xyz
'x,y,z'
loop_
_atom_site_label
_atom_site_type_symbol
_atom_site_fract_x
_atom_site_fract_y
_atom_site_fract_z
_atom_site_occupancy
Np1 Np 0.2513 0.2513 0.6590 1
Np2 Np 0.2513 0.6590 0.2513 1
Np3 Np 0.3410 0.7487 0.7487 1
Np4 Np 0.6590 0.2513 0.2513 1
Np5 Np 0.7487 0.3410 0.7487 1
Np6 Np 0.7487 0.7487 0.3410 1
Tl1 Tl 0.0000 0.0000 0.0000 1
Se1 Se 0.1303 0.5000 0.8697 1
Se2 Se 0.1303 0.8697 0.5000 1
Se3 Se 0.1790 0.4374 0.4374 1
Se4 Se 0.4374 0.1790 0.4374 1
Se5 Se 0.4374 0.4374 0.1790 1
Se6 Se 0.5000 0.1303 0.8697 1
Se7 Se 0.5000 0.8697 0.1303 1
Se8 Se 0.5626 0.5626 0.8210 1
Se9 Se 0.5626 0.8210 0.5626 1
Se10 Se 0.8210 0.5626 0.5626 1
Se11 Se 0.8697 0.1303 0.5000 1
Se12 Se 0.8697 0.5000 0.1303 1
```

Peak list (8 most intense, 2θ from 15° to 90°, by angle)
Position (°2θ)	Rel. int.
22.03	100
23.42	28
26.95	42
34.71	46
35.45	43
39.68	37
40.18	28
42.77	51

Simulated X-ray diffraction stick pattern of NpTlSe4 for Cu Kα, from DFT lattice parameters and positions (PBE).
Lines closer than 0.1° are merged.

```
data_NpTlSe4
_space_group_name_H-M_alt 'P 1'
_space_group_IT_number 1
_cell_length_a 6.2619
_cell_length_b 6.2619
_cell_length_c 8.4042
_cell_angle_alpha 90.00
_cell_angle_beta 90.00
_cell_angle_gamma 90.00
loop_
_space_group_symop_operation_xyz
'x,y,z'
loop_
_atom_site_label
_atom_site_type_symbol
_atom_site_fract_x
_atom_site_fract_y
_atom_site_fract_z
_atom_site_occupancy
Np1 Np 0.2500 0.2500 0.0000 1
Np2 Np 0.7500 0.7500 0.0000 1
Tl1 Tl 0.2500 0.2500 0.5000 1
Tl2 Tl 0.7500 0.7500 0.5000 1
Se1 Se 0.1098 0.6098 0.2040 1
Se2 Se 0.1098 0.8902 0.7960 1
Se3 Se 0.3902 0.6098 0.7960 1
Se4 Se 0.3902 0.8902 0.2040 1
Se5 Se 0.6098 0.1098 0.7960 1
Se6 Se 0.6098 0.3902 0.2040 1
Se7 Se 0.8902 0.1098 0.2040 1
Se8 Se 0.8902 0.3902 0.7960 1
```

Peak list (8 most intense, 2θ from 15° to 90°, by angle)
Position (°2θ)	Rel. int.
20.05	38
28.51	25
29.30	100
33.74	26
35.76	47
45.82	43
63.41	18
64.68	19

Simulated X-ray diffraction stick pattern of TmNp3Tl3Se8 for Cu Kα, from DFT lattice parameters and positions (PBE).
Lines closer than 0.1° are merged.

```
data_TmNp3Tl3Se8
_space_group_name_H-M_alt 'P 1'
_space_group_IT_number 1
_cell_length_a 8.3509
_cell_length_b 8.3509
_cell_length_c 9.1539
_cell_angle_alpha 117.14
_cell_angle_beta 117.14
_cell_angle_gamma 59.84
loop_
_space_group_symop_operation_xyz
'x,y,z'
loop_
_atom_site_label
_atom_site_type_symbol
_atom_site_fract_x
_atom_site_fract_y
_atom_site_fract_z
_atom_site_occupancy
Tm1 Tm 0.0000 0.0000 0.0000 1
Np1 Np 0.0000 0.5000 0.0000 1
Np2 Np 0.5000 0.0000 0.0000 1
Np3 Np 0.5000 0.5000 0.0000 1
Tl1 Tl 0.0000 0.0000 0.5000 1
Tl2 Tl 0.0000 0.5000 0.5000 1
Tl3 Tl 0.5000 0.0000 0.5000 1
Se1 Se 0.2325 0.2325 0.1995 1
Se2 Se 0.2332 0.7366 0.2014 1
Se3 Se 0.2634 0.7668 0.7986 1
Se4 Se 0.2655 0.2655 0.7971 1
Se5 Se 0.7345 0.7345 0.2029 1
Se6 Se 0.7366 0.2332 0.2014 1
Se7 Se 0.7668 0.2634 0.7986 1
Se8 Se 0.7675 0.7675 0.8005 1
```

Peak list (8 most intense, 2θ from 15° to 90°, by angle)
Position (°2θ)	Rel. int.
22.85	12
25.81	22
29.06	100
39.70	38
43.34	24
43.45	12
53.06	19
65.58	10

Simulated X-ray diffraction stick pattern of ZrNp3Tl4Se8 for Cu Kα, from DFT lattice parameters and positions (PBE).
Lines closer than 0.1° are merged.

```
data_ZrNp3Tl4Se8
_space_group_name_H-M_alt 'P 1'
_space_group_IT_number 1
_cell_length_a 9.1812
_cell_length_b 9.1812
_cell_length_c 9.1812
_cell_angle_alpha 53.35
_cell_angle_beta 53.35
_cell_angle_gamma 53.35
loop_
_space_group_symop_operation_xyz
'x,y,z'
loop_
_atom_site_label
_atom_site_type_symbol
_atom_site_fract_x
_atom_site_fract_y
_atom_site_fract_z
_atom_site_occupancy
Zr1 Zr 0.0000 0.0000 0.0000 1
Np1 Np 0.0000 0.5000 0.5000 1
Np2 Np 0.5000 0.0000 0.5000 1
Np3 Np 0.5000 0.5000 0.0000 1
Tl1 Tl 0.0000 0.0000 0.5000 1
Tl2 Tl 0.0000 0.5000 0.0000 1
Tl3 Tl 0.5000 0.0000 0.0000 1
Tl4 Tl 0.5000 0.5000 0.5000 1
Se1 Se 0.2271 0.2271 0.7479 1
Se2 Se 0.2271 0.7479 0.2271 1
Se3 Se 0.2521 0.7729 0.7729 1
Se4 Se 0.2642 0.2642 0.2642 1
Se5 Se 0.7358 0.7358 0.7358 1
Se6 Se 0.7479 0.2271 0.2271 1
Se7 Se 0.7729 0.2521 0.7729 1
Se8 Se 0.7729 0.7729 0.2521 1
```

Peak list (8 most intense, 2θ from 15° to 90°, by angle)
Position (°2θ)	Rel. int.
26.08	25
29.26	100
39.68	39
43.93	34
46.21	16
53.66	19
65.68	18
71.78	15

Simulated X-ray diffraction stick pattern of Tm6NpSe8 for Cu Kα, from DFT lattice parameters and positions (PBE).
Lines closer than 0.1° are merged.

```
data_Tm6NpSe8
_space_group_name_H-M_alt 'P 1'
_space_group_IT_number 1
_cell_length_a 8.0222
_cell_length_b 8.0222
_cell_length_c 8.0222
_cell_angle_alpha 60.00
_cell_angle_beta 60.00
_cell_angle_gamma 60.00
loop_
_space_group_symop_operation_xyz
'x,y,z'
loop_
_atom_site_label
_atom_site_type_symbol
_atom_site_fract_x
_atom_site_fract_y
_atom_site_fract_z
_atom_site_occupancy
Tm1 Tm 0.0000 0.0000 0.5000 1
Tm2 Tm 0.0000 0.5000 0.0000 1
Tm3 Tm 0.0000 0.5000 0.5000 1
Tm4 Tm 0.5000 0.0000 0.0000 1
Tm5 Tm 0.5000 0.0000 0.5000 1
Tm6 Tm 0.5000 0.5000 0.0000 1
Np1 Np 0.0000 0.0000 0.0000 1
Se1 Se 0.2500 0.2500 0.2500 1
Se2 Se 0.2585 0.2585 0.7415 1
Se3 Se 0.2585 0.7415 0.2585 1
Se4 Se 0.2585 0.7415 0.7415 1
Se5 Se 0.7415 0.2585 0.2585 1
Se6 Se 0.7415 0.2585 0.7415 1
Se7 Se 0.7415 0.7415 0.2585 1
Se8 Se 0.7500 0.7500 0.7500 1
```

Peak list (8 most intense, 2θ from 15° to 90°, by angle)
Position (°2θ)	Rel. int.
26.05	11
27.23	20
31.54	100
45.21	74
56.17	26
65.86	12
74.86	33
83.49	25